Entry 1:
The following is a theoretical powder XRD pattern of SrNdDyMnO6. It was derived from a DFT-relaxed cell (PBE+U, Alexandria), using CuKα.
Kinematic intensities with the Lorentz-polarization factor, no thermal factor.

Most intense lines, 10 to 90 degrees two-theta, sorted by position:
2theta  intensity  index
18.9  15  1 1 1
31.1  100  2 2 0
36.7  11  3 1 1
38.4  3  2 2 2
44.6  31  4 0 0
48.9  6  3 3 1
55.4  39  4 2 2
59.1  3  3 3 3
64.9  19  4 4 0
68.3  3  5 3 1
73.7  17  6 2 0
82.2  6  4 4 4

Crystal structure
```
data_SrNdDyMnO6
_chemical_formula_sum 'Sr4 Nd4 Dy4 Mn4 O24'
_symmetry_space_group_name_H-M 'F -4 3 m'
_symmetry_Int_Tables_number 216
_symmetry_space_group_name_Hall 'F -4 2 3'
_cell_length_a 8.1262
_cell_length_b 8.1262
_cell_length_c 8.1262
_cell_angle_alpha 90.00
_cell_angle_beta 90.00
_cell_angle_gamma 90.00
loop_
_atom_site_label
_atom_site_type_symbol
_atom_site_fract_x
_atom_site_fract_y
_atom_site_fract_z
Sr1 Sr 0.0000 0.0000 0.0000
Nd1 Nd 0.0000 0.0000 0.5000
Dy1 Dy 0.2500 0.2500 0.7500
Mn1 Mn 0.2500 0.2500 0.2500
O1 O 0.0165 0.2500 0.2500
```

---

Entry 2:
The following is a theoretical powder XRD pattern of DyMn2O4. It was derived from a DFT-relaxed cell (PBE+U, Alexandria), using CuKα.
Kinematic intensities with the Lorentz-polarization factor, no thermal factor.

Most intense lines, 10 to 90 degrees two-theta, sorted by position:
2theta  intensity  index
17.7  23  0 0 2
19.3  68  2 0 1
30.7  50  1 1 1
31.9  100  2 0 3
34.4  52  1 1 2
34.8  31  4 0 0
39.6  68  3 1 1
42.6  37  3 1 2
46.9  20  1 1 4
54.8  23  1 1 5
56.1  25  5 1 2
60.5  19  6 0 3

Crystal structure
```
data_DyMn2O4
_chemical_formula_sum 'Dy4 Mn8 O16'
_symmetry_space_group_name_H-M 'P c a 21'
_symmetry_Int_Tables_number 29
_symmetry_space_group_name_Hall 'P 2c -2ac'
_cell_length_a 10.3245
_cell_length_b 3.1907
_cell_length_c 10.0210
_cell_angle_alpha 90.00
_cell_angle_beta 90.00
_cell_angle_gamma 90.00
loop_
_atom_site_label
_atom_site_type_symbol
_atom_site_fract_x
_atom_site_fract_y
_atom_site_fract_z
Dy1 Dy 0.1395 0.2058 0.0000
Mn1 Mn 0.1152 0.6970 0.6873
Mn2 Mn 0.1225 0.7309 0.3235
O1 O 0.0209 0.6835 0.8753
O2 O 0.0451 0.7345 0.1448
O3 O 0.2036 0.7094 0.5003
O4 O 0.2467 0.1738 0.7675
```

---

Entry 3:
The following is a theoretical powder XRD pattern of Dy2Mn2O5. It was derived from a DFT-relaxed cell (PBE+U, Alexandria), using CuKα.
Kinematic intensities with the Lorentz-polarization factor, no thermal factor.

Most intense lines, 10 to 90 degrees two-theta, sorted by position:
2theta  intensity  index
16.1  93  0 0 1
25.3  32  1 1 0
27.4  76  1 1 -1
32.5  51  0 0 2
32.7  100  4 0 -2
32.8  73  3 1 -1
35.6  63  4 0 0
45.5  33  5 1 -1
48.2  57  3 1 -3
48.5  32  0 2 0
51.4  26  5 1 0
61.5  42  4 2 0

Crystal structure
```
data_Dy2Mn2O5
_chemical_formula_sum 'Dy4 Mn4 O10'
_symmetry_space_group_name_H-M 'C 1 2/m 1'
_symmetry_Int_Tables_number 12
_symmetry_space_group_name_Hall '-C 2y'
_cell_length_a 11.9932
_cell_length_b 3.7557
_cell_length_c 6.5502
_cell_angle_alpha 90.00
_cell_angle_beta 122.64
_cell_angle_gamma 90.00
loop_
_atom_site_label
_atom_site_type_symbol
_atom_site_fract_x
_atom_site_fract_y
_atom_site_fract_z
Dy1 Dy 0.1162 0.0000 0.4672
Mn1 Mn 0.1366 0.5000 0.9575
O1 O 0.0000 0.5000 0.5000
O2 O 0.1345 0.0000 0.8383
O3 O 0.1586 0.5000 0.3004
```

---

Entry 4:
The following is a theoretical powder XRD pattern of RbDyMnO3. It was derived from a DFT-relaxed cell (PBE+U, Alexandria), using CuKα.
Kinematic intensities with the Lorentz-polarization factor, no thermal factor.

Most intense lines, 10 to 90 degrees two-theta, sorted by position:
2theta  intensity  index
12.8  100  0 2 0
23.2  71  0 2 2
27.6  26  0 4 1
31.6  64  1 3 0
32.3  73  1 1 2
33.1  21  1 3 1
39.1  41  0 0 4
41.3  23  1 5 0
45.9  33  1 5 2
51.1  31  1 3 4
52.9  18  1 7 0
67.7  16  1 7 4

Crystal structure
```
data_RbDyMnO3
_chemical_formula_sum 'Rb4 Dy4 Mn4 O12'
_symmetry_space_group_name_H-M 'C m c m'
_symmetry_Int_Tables_number 63
_symmetry_space_group_name_Hall '-C 2c 2'
_cell_length_a 3.5895
_cell_length_b 13.8155
_cell_length_c 9.2235
_cell_angle_alpha 90.00
_cell_angle_beta 90.00
_cell_angle_gamma 90.00
loop_
_atom_site_label
_atom_site_type_symbol
_atom_site_fract_x
_atom_site_fract_y
_atom_site_fract_z
Rb1 Rb 0.0000 0.1930 0.2500
Dy1 Dy 0.0000 0.5000 0.0000
Mn1 Mn 0.0000 0.0765 0.7500
O1 O 0.0000 0.1028 0.5390
O2 O 0.0000 0.4830 0.7500
```

---

Entry 5:
The following is a theoretical powder XRD pattern of Sr3DyMn2O8. It was derived from a DFT-relaxed cell (PBE+U, Alexandria), using CuKα.
Kinematic intensities with the Lorentz-polarization factor, no thermal factor.

Most intense lines, 10 to 90 degrees two-theta, sorted by position:
2theta  intensity  index
24.0  19  1 1 1
31.7  100  1 1 3
32.4  39  2 0 0
32.6  38  0 2 0
43.6  16  1 1 5
44.2  16  2 0 4
44.3  28  0 0 6
46.6  41  2 2 0
56.0  14  2 0 6
57.4  19  3 1 3
57.6  19  1 3 3
66.3  13  2 2 6

Crystal structure
```
data_Sr3DyMn2O8
_chemical_formula_sum 'Sr6 Dy2 Mn4 O16'
_symmetry_space_group_name_H-M 'A m m 2'
_symmetry_Int_Tables_number 38
_symmetry_space_group_name_Hall 'A 2 -2'
_cell_length_a 5.5205
_cell_length_b 5.4990
_cell_length_c 12.2589
_cell_angle_alpha 90.00
_cell_angle_beta 90.00
_cell_angle_gamma 90.00
loop_
_atom_site_label
_atom_site_type_symbol
_atom_site_fract_x
_atom_site_fract_y
_atom_site_fract_z
Sr1 Sr 0.0000 0.0000 0.0000
Sr2 Sr 0.0000 0.0000 0.2887
Sr3 Sr 0.5000 0.0000 0.7913
Dy1 Dy 0.5000 0.0000 0.5120
Mn1 Mn 0.0000 0.0000 0.6449
Mn2 Mn 0.5000 0.0000 0.1454
O1 O 0.0000 0.0000 0.4842
O2 O 0.0000 0.0000 0.8025
O3 O 0.2611 0.2435 0.6389
O4 O 0.5000 0.0000 0.3240
O5 O 0.5000 0.0000 0.9860
```

---

Entry 6:
The following is a theoretical powder XRD pattern of SrDy4Mn3O12. It was derived from a DFT-relaxed cell (PBE+U, Alexandria), using CuKα.
Kinematic intensities with the Lorentz-polarization factor, no thermal factor.

Most intense lines, 10 to 90 degrees two-theta, sorted by position:
2theta  intensity  index
21.7  24  2 0 0
30.8  100  2 2 0
38.0  6  2 2 2
44.1  21  4 0 0
49.7  14  4 0 2
54.8  48  4 2 2
64.2  12  4 4 0
68.6  4  4 4 2
72.9  18  6 2 0
77.1  4  6 2 2
81.2  5  4 4 4
89.3  21  6 4 2

Crystal structure
```
data_SrDy4Mn3O12
_chemical_formula_sum 'Sr2 Dy8 Mn6 O24'
_symmetry_space_group_name_H-M 'I m -3'
_symmetry_Int_Tables_number 204
_symmetry_space_group_name_Hall '-I 2 2 3'
_cell_length_a 8.2058
_cell_length_b 8.2058
_cell_length_c 8.2058
_cell_angle_alpha 90.00
_cell_angle_beta 90.00
_cell_angle_gamma 90.00
loop_
_atom_site_label
_atom_site_type_symbol
_atom_site_fract_x
_atom_site_fract_y
_atom_site_fract_z
Sr1 Sr 0.0000 0.0000 0.0000
Dy1 Dy 0.2500 0.2500 0.2500
Mn1 Mn 0.0000 0.0000 0.5000
O1 O 0.0000 0.1570 0.3230
```

---

Entry 7:
The following is a theoretical powder XRD pattern of DyMnTc2O8. It was derived from a DFT-relaxed cell (PBE+U, Alexandria), using CuKα.
Kinematic intensities with the Lorentz-polarization factor, no thermal factor.

Most intense lines, 10 to 90 degrees two-theta, sorted by position:
2theta  intensity  index
17.3  24  1 0 0
22.4  100  0 1 1
30.2  77  1 1 0
33.5  49  1 0 2
37.9  14  2 0 1
45.7  31  0 2 2
49.2  25  1 2 1
53.6  32  3 0 0
55.7  25  2 1 2
61.8  14  0 1 4
62.7  14  2 2 0
78.4  13  1 2 4

Crystal structure
```
data_DyMnTc2O8
_chemical_formula_sum 'Dy1 Mn1 Tc2 O8'
_symmetry_space_group_name_H-M 'P -3 m 1'
_symmetry_Int_Tables_number 164
_symmetry_space_group_name_Hall '-P 3 2"'
_cell_length_a 5.9271
_cell_length_b 5.9271
_cell_length_c 6.2737
_cell_angle_alpha 90.00
_cell_angle_beta 90.00
_cell_angle_gamma 120.00
loop_
_atom_site_label
_atom_site_type_symbol
_atom_site_fract_x
_atom_site_fract_y
_atom_site_fract_z
Dy1 Dy 0.0000 0.0000 0.0000
Mn1 Mn 0.0000 0.0000 0.5000
Tc1 Tc 0.3333 0.6667 0.3303
O1 O 0.1601 0.3203 0.2481
O2 O 0.3333 0.6667 0.6074
```

---

Entry 8:
The following is a theoretical powder XRD pattern of DyYMn2O6. It was derived from a DFT-relaxed cell (PBE+U, Alexandria), using CuKα.
Kinematic intensities with the Lorentz-polarization factor, no thermal factor.

Most intense lines, 10 to 90 degrees two-theta, sorted by position:
2theta  intensity  index
15.3  26  0 0 2
22.5  16  0 1 2
28.7  43  1 1 0
29.7  35  2 -1 1
30.9  32  0 0 4
32.7  100  2 -1 2
42.7  32  1 1 4
50.8  45  3 0 0
56.1  19  2 -1 6
60.6  27  3 0 4
61.7  17  2 2 2
83.9  15  5 -1 2

Crystal structure
```
data_DyYMn2O6
_chemical_formula_sum 'Dy3 Y3 Mn6 O18'
_symmetry_space_group_name_H-M 'P 3'
_symmetry_Int_Tables_number 143
_symmetry_space_group_name_Hall 'P 3'
_cell_length_a 6.2267
_cell_length_b 6.2267
_cell_length_c 11.5766
_cell_angle_alpha 90.00
_cell_angle_beta 90.00
_cell_angle_gamma 120.00
loop_
_atom_site_label
_atom_site_type_symbol
_atom_site_fract_x
_atom_site_fract_y
_atom_site_fract_z
Dy1 Dy 0.0000 0.0000 0.0000
Dy2 Dy 0.0000 0.0000 0.5000
Dy3 Dy 0.6667 0.3333 0.4562
Y1 Y 0.3333 0.6667 0.4571
Y2 Y 0.3333 0.6667 0.9568
Y3 Y 0.6667 0.3333 0.9567
Mn1 Mn 0.9999 0.3334 0.7250
Mn2 Mn 0.0001 0.6667 0.2253
O1 O 0.0000 0.0000 0.2011
O2 O 0.0000 0.0000 0.7008
O3 O 0.0001 0.3070 0.8895
O4 O 0.9999 0.6417 0.0610
O5 O 0.9998 0.6928 0.3897
O6 O 0.3333 0.6667 0.2452
O7 O 0.3333 0.6667 0.7447
O8 O 0.3589 0.0009 0.5608
O9 O 0.6667 0.3333 0.2457
O10 O 0.6667 0.3333 0.7451
```